1.
Simulated powder diffractogram
Compound: SbAsO4
Radiation: λ = 1.5418 Å (Cu Kα)
Structure: a PBE-relaxed structure

Structure:
Cell lengths 4.9445, 7.1093, 5.6656 Å; angles 90.00, 96.35, 90.00 degrees
Fractional positions:
Sb  0.1845  0.2500  0.1990
Sb  0.8155  0.7500  0.8010
As  0.2839  0.7500  0.3883
As  0.7161  0.2500  0.6117
O  0.1829  0.5595  0.2185
O  0.1829  0.9405  0.2185
O  0.1847  0.7500  0.6756
O  0.3631  0.2500  0.5448
O  0.6369  0.7500  0.4552
O  0.8153  0.2500  0.3244
O  0.8171  0.0595  0.7815
O  0.8171  0.4405  0.7815

Most intense lines, 10° ≤ 2θ ≤ 90°, in order of rising 2θ:
2θ (°), Rel. int.
22.66, 100.0
25.05, 79.0
28.32, 56.7
34.03, 35.9
34.26, 31.4
46.23, 29.6

2.
Simulated powder diffractogram
Compound: SbAsO5
Radiation: λ = 1.5418 Å (Cu Kα)
Structure: a PBE-relaxed structure

Structure:
Cell lengths 4.9911, 8.9646, 9.3159 Å; angles 90.00, 90.00, 90.00 degrees
Fractional positions:
Sb  0.1185  0.1529  0.3973
Sb  0.3815  0.8471  0.8973
Sb  0.6185  0.3471  0.6027
Sb  0.8815  0.6529  0.1027
As  0.1097  0.5286  0.7885
As  0.3903  0.4714  0.2885
As  0.6097  0.9714  0.2115
As  0.8903  0.0286  0.7115
O  0.0516  0.5005  0.9698
O  0.0796  0.8252  0.0304
O  0.1728  0.6137  0.2491
O  0.1849  0.0198  0.8077
O  0.2210  0.7065  0.7481
O  0.2790  0.2935  0.2481
O  0.3151  0.9802  0.3077
O  0.3272  0.3863  0.7491
O  0.4204  0.1748  0.5304
O  0.4484  0.4995  0.4698
O  0.5516  0.9995  0.0302
O  0.5796  0.6748  0.9696
O  0.6728  0.8863  0.7509
O  0.6849  0.4802  0.1923
O  0.7210  0.7935  0.2519
O  0.7790  0.2065  0.7519
O  0.8151  0.5198  0.6923
O  0.8272  0.1137  0.2509
O  0.9204  0.3252  0.4696
O  0.9484  0.0005  0.5302

Most intense lines, 10° ≤ 2θ ≤ 90°, in order of rising 2θ:
2θ (°), Rel. int.
13.71, 100.0
22.51, 43.6
26.17, 28.0
26.73, 23.2
28.03, 32.4
28.43, 38.1

3.
Simulated powder diffractogram
Compound: SbAs2O7
Radiation: λ = 1.5418 Å (Cu Kα)
Structure: a PBE-relaxed structure

Structure:
Cell lengths 7.4099, 9.5462, 9.8911 Å; angles 90.00, 108.26, 90.00 degrees
Fractional positions:
Sb  0.1963  0.0690  0.2933
Sb  0.1963  0.4310  0.7933
Sb  0.8037  0.5690  0.2067
Sb  0.8037  0.9310  0.7067
As  0.0317  0.7080  0.9622
As  0.0317  0.7920  0.4622
As  0.4114  0.7503  0.2500
As  0.4114  0.7497  0.7500
As  0.5886  0.2503  0.2500
As  0.5886  0.2497  0.7500
As  0.9683  0.2080  0.5378
As  0.9683  0.2920  0.0378
O  0.0013  0.6215  0.3934
O  0.0013  0.8785  0.8934
O  0.0156  0.5920  0.8262
O  0.0156  0.9080  0.3262
O  0.1433  0.1825  0.4586
O  0.1433  0.3175  0.9586
O  0.2506  0.6699  0.0880
O  0.2506  0.8301  0.5880
O  0.3691  0.5683  0.7305
O  0.3691  0.9317  0.2305
O  0.3733  0.2322  0.2852
O  0.3733  0.2678  0.7852
O  0.3819  0.6763  0.3907
O  0.3819  0.8237  0.8907
O  0.6181  0.1763  0.1093
O  0.6181  0.3237  0.6093
O  0.6267  0.7322  0.2148
O  0.6267  0.7678  0.7148
O  0.6309  0.0683  0.7695
O  0.6309  0.4317  0.2695
O  0.7494  0.1699  0.4120
O  0.7494  0.3301  0.9120
O  0.8567  0.6825  0.0414
O  0.8567  0.8175  0.5414
O  0.9844  0.0920  0.6738
O  0.9844  0.4080  0.1738
O  0.9987  0.1215  0.1066
O  0.9987  0.3785  0.6066

Most intense lines, 10° ≤ 2θ ≤ 90°, in order of rising 2θ:
2θ (°), Rel. int.
16.11, 43.0
18.90, 43.9
20.25, 100.0
25.89, 65.6
26.81, 78.0
28.10, 72.6

4.
Simulated powder diffractogram
Compound: SbAsO5
Radiation: λ = 1.5418 Å (Cu Kα)
Structure: a PBE-relaxed structure

Structure:
Cell lengths 6.2817, 7.7501, 8.3742 Å; angles 90.00, 90.00, 90.00 degrees
Fractional positions:
Sb  0.2477  0.2453  0.4954
Sb  0.2523  0.7547  0.9954
Sb  0.7477  0.2547  0.5046
Sb  0.7523  0.7453  0.0046
As  0.0156  0.8584  0.3304
As  0.4844  0.1416  0.8304
As  0.5156  0.6416  0.6696
As  0.9844  0.3584  0.1696
O  0.0036  0.5777  0.0761
O  0.0046  0.3687  0.5877
O  0.0522  0.7085  0.4648
O  0.2200  0.3613  0.2824
O  0.2278  0.8946  0.1972
O  0.2722  0.1054  0.6972
O  0.2800  0.6387  0.7824
O  0.4478  0.2915  0.9648
O  0.4954  0.6313  0.0877
O  0.4964  0.4223  0.5761
O  0.5036  0.9223  0.9239
O  0.5046  0.1313  0.4123
O  0.5522  0.7915  0.5352
O  0.7200  0.1387  0.7176
O  0.7278  0.6054  0.8028
O  0.7722  0.3946  0.3028
O  0.7800  0.8613  0.2176
O  0.9478  0.2085  0.0352
O  0.9954  0.8687  0.9123
O  0.9964  0.0777  0.4239

Most intense lines, 10° ≤ 2θ ≤ 90°, in order of rising 2θ:
2θ (°), Rel. int.
15.58, 100.0
17.65, 44.0
22.95, 41.0
31.46, 26.5
32.57, 74.4
34.14, 33.4

5.
Simulated powder diffractogram
Compound: SbAsO3
Radiation: λ = 1.5418 Å (Cu Kα)
Structure: a PBE-relaxed structure

Structure:
Cell lengths 4.6586, 13.6525, 6.9686 Å; angles 90.00, 126.08, 90.00 degrees
Fractional positions:
Sb  0.1649  0.1480  0.1618
Sb  0.1649  0.3520  0.6618
Sb  0.8351  0.6480  0.3382
Sb  0.8351  0.8520  0.8382
As  0.2822  0.0992  0.7460
As  0.2822  0.4008  0.2460
As  0.7178  0.5992  0.7540
As  0.7178  0.9008  0.2540
O  0.0149  0.5987  0.6660
O  0.0149  0.9013  0.1660
O  0.1400  0.2105  0.5706
O  0.1400  0.2895  0.0706
O  0.3517  0.6414  0.4589
O  0.3517  0.8586  0.9589
O  0.6483  0.1414  0.0411
O  0.6483  0.3586  0.5411
O  0.8600  0.7105  0.9294
O  0.8600  0.7895  0.4294
O  0.9851  0.0987  0.8340
O  0.9851  0.4013  0.3340

Most intense lines, 10° ≤ 2θ ≤ 90°, in order of rising 2θ:
2θ (°), Rel. int.
17.03, 36.7
24.53, 97.3
26.10, 100.0
26.88, 68.6
30.63, 38.5
38.85, 34.3

6.
Simulated powder diffractogram
Compound: SmAsO4
Radiation: λ = 1.5418 Å (Cu Kα)
Structure: a PBE-relaxed structure

Structure:
Cell lengths 6.8365, 6.8365, 6.8365 Å; angles 135.94, 135.94, 64.08 degrees
Fractional positions:
Sm  0.3750  0.1250  0.2500
Sm  0.6250  0.8750  0.7500
As  0.1250  0.3750  0.7500
As  0.8750  0.6250  0.2500
O  0.0610  0.2036  0.3583
O  0.2027  0.5610  0.3574
O  0.2964  0.1546  0.8574
O  0.3454  0.7027  0.1417
O  0.6546  0.2973  0.8583
O  0.7036  0.8454  0.1426
O  0.7973  0.4390  0.6426
O  0.9390  0.7964  0.6417

Most intense lines, 10° ≤ 2θ ≤ 90°, in order of rising 2θ:
2θ (°), Rel. int.
29.05, 100.0
30.86, 16.6
34.99, 20.5
47.34, 29.2
53.76, 17.7
59.15, 28.0

7.
Simulated powder diffractogram
Compound: Sm2As4O9
Radiation: λ = 1.5418 Å (Cu Kα)
Structure: a PBE-relaxed structure

Structure:
Cell lengths 6.8970, 7.6975, 9.9006 Å; angles 95.27, 104.18, 104.67 degrees
Fractional positions:
Sm  0.2198  0.0314  0.4073
Sm  0.2519  0.5598  0.3835
Sm  0.7481  0.4402  0.6165
Sm  0.7802  0.9686  0.5927
As  0.1785  0.2778  0.0737
As  0.2477  0.4177  0.7092
As  0.3082  0.8486  0.7012
As  0.3236  0.7450  0.0866
As  0.6764  0.2550  0.9134
As  0.6918  0.1514  0.2988
As  0.7523  0.5823  0.2908
As  0.8215  0.7222  0.9263
O  0.0067  0.7279  0.3323
O  0.1056  0.8180  0.9859
O  0.1280  0.9606  0.6228
O  0.1314  0.6013  0.6400
O  0.1833  0.5207  0.1251
O  0.2212  0.2518  0.2526
O  0.3453  0.3716  0.5597
O  0.3640  0.8475  0.2606
O  0.4097  0.8319  0.5487
O  0.5903  0.1681  0.4513
O  0.6360  0.1525  0.7394
O  0.6547  0.6284  0.4403
O  0.7788  0.7482  0.7474
O  0.8167  0.4793  0.8749
O  0.8686  0.3987  0.3600
O  0.8720  0.0394  0.3772
O  0.8944  0.1820  0.0141
O  0.9933  0.2721  0.6677

Most intense lines, 10° ≤ 2θ ≤ 90°, in order of rising 2θ:
2θ (°), Rel. int.
27.45, 59.3
27.83, 100.0
28.24, 27.3
30.74, 33.3
31.66, 20.7
32.29, 22.5

8.
Simulated powder diffractogram
Compound: SmAsO4
Radiation: λ = 1.5418 Å (Cu Kα)
Structure: a PBE-relaxed structure

Structure:
Cell lengths 6.7167, 7.1176, 8.2909 Å; angles 90.00, 126.14, 90.00 degrees
Fractional positions:
Sm  0.1890  0.1498  0.2829
Sm  0.1890  0.3502  0.7829
Sm  0.8110  0.6498  0.2171
Sm  0.8110  0.8502  0.7171
As  0.3102  0.6622  0.1977
As  0.3102  0.8378  0.6977
As  0.6898  0.1622  0.3023
As  0.6898  0.3378  0.8023
O  0.1040  0.6544  0.6054
O  0.1040  0.8456  0.1054
O  0.1690  0.0053  0.7476
O  0.1690  0.4947  0.2476
O  0.3519  0.6063  0.0173
O  0.3519  0.8937  0.5173
O  0.3880  0.2141  0.1154
O  0.3880  0.2859  0.6154
O  0.6120  0.7141  0.3846
O  0.6120  0.7859  0.8846
O  0.6481  0.1063  0.4827
O  0.6481  0.3937  0.9827
O  0.8310  0.5053  0.7524
O  0.8310  0.9947  0.2524
O  0.8960  0.1544  0.8946
O  0.8960  0.3456  0.3946

Most intense lines, 10° ≤ 2θ ≤ 90°, in order of rising 2θ:
2θ (°), Rel. int.
26.63, 54.2
28.40, 100.0
30.31, 62.6
33.03, 24.4
45.61, 30.6
47.32, 26.2

9.
Simulated powder diffractogram
Compound: SmAsO4
Radiation: λ = 1.5418 Å (Cu Kα)
Structure: a PBE-relaxed structure

Structure:
Cell lengths 6.0853, 6.0853, 6.0853 Å; angles 106.36, 106.36, 115.89 degrees
Fractional positions:
Sm  0.3750  0.6250  0.7500
Sm  0.6250  0.3750  0.2500
As  0.1250  0.8750  0.2500
As  0.8750  0.1250  0.7500
O  0.1314  0.7020  0.4295
O  0.2275  0.2980  0.9295
O  0.2980  0.2275  0.4295
O  0.2980  0.8686  0.0705
O  0.7020  0.1314  0.9295
O  0.7020  0.7725  0.5705
O  0.7725  0.7020  0.0705
O  0.8686  0.2980  0.5705

Most intense lines, 10° ≤ 2θ ≤ 90°, in order of rising 2θ:
2θ (°), Rel. int.
24.41, 100.0
32.72, 72.1
34.79, 23.5
48.50, 60.1
50.02, 15.4
61.06, 17.6

10.
Simulated powder diffractogram
Compound: SmAsO2
Radiation: λ = 1.5418 Å (Cu Kα)
Structure: a PBE-relaxed structure

Structure:
Cell lengths 7.4882, 7.4882, 7.4882 Å; angles 128.13, 128.13, 76.41 degrees
Fractional positions:
Sm  0.0000  0.0000  0.0000
Sm  0.5000  0.0000  0.0000
Sm  0.5000  0.0000  0.5000
Sm  0.5000  0.5000  0.5000
As  0.0000  0.0000  0.5000
As  0.0000  0.5000  0.0000
As  0.0000  0.5000  0.5000
As  0.5000  0.5000  0.0000
O  0.2015  0.2029  0.9959
O  0.2929  0.7943  0.4959
O  0.2943  0.2985  0.5014
O  0.2971  0.7929  0.9986
O  0.7029  0.2071  0.0014
O  0.7057  0.7015  0.4986
O  0.7071  0.2057  0.5041
O  0.7985  0.7971  0.0041

Most intense lines, 10° ≤ 2θ ≤ 90°, in order of rising 2θ:
2θ (°), Rel. int.
30.38, 40.0
31.26, 100.0
38.89, 47.3
50.13, 38.6
54.53, 28.1
65.70, 25.3